[1]
The following is a simulated XRD peak list of Na4PtS4. It was derived from a cell relaxed with PBE, using CuKα.
Neutral-atom scattering factors, no anomalous dispersion.

Largest 10 diffraction maxima, low angle first, 10° ≤ 2θ ≤ 90°:
two_theta, I_rel
15.67, 48
17.71, 100
28.57, 70
32.06, 18
35.51, 22
35.87, 16
43.16, 18
45.67, 22
49.64, 27
59.58, 16

Structural model:
Unit cell a=7.9952 b=7.9952 c=6.4218 alpha=90.00 beta=90.00 gamma=90.00
Sites, in units of the cell vectors:
1 Na 0.0888 0.2962 0.4625
2 Na 0.2038 0.4112 0.9625
3 Na 0.2962 0.9112 0.5375
4 Na 0.4112 0.7962 0.0375
5 Na 0.5888 0.2038 0.0375
6 Na 0.7038 0.0888 0.5375
7 Na 0.7962 0.5888 0.9625
8 Na 0.9112 0.7038 0.4625
9 Pt 0.0000 0.0000 0.0000
10 Pt 0.5000 0.5000 0.5000
11 S 0.0904 0.7548 0.8442
12 S 0.2452 0.0904 0.1558
13 S 0.2548 0.5904 0.3442
14 S 0.4096 0.2548 0.6558
15 S 0.5904 0.7452 0.6558
16 S 0.7452 0.4096 0.3442
17 S 0.7548 0.9096 0.1558
18 S 0.9096 0.2452 0.8442



[2]
The following is a simulated XRD peak list of Na4PtSe4. It was derived from a cell relaxed with PBE, using CuKα.
Neutral-atom scattering factors, no anomalous dispersion.

Largest 10 diffraction maxima, low angle first, 10° ≤ 2θ ≤ 90°:
two_theta, I_rel
15.19, 32
16.94, 100
25.28, 23
27.53, 48
30.52, 20
36.92, 19
41.66, 19
43.82, 22
47.20, 33
47.37, 18

Structural model:
Unit cell a=8.2507 b=8.2507 c=6.7731 alpha=90.00 beta=90.00 gamma=90.00
Sites, in units of the cell vectors:
1 Na 0.0880 0.2936 0.4633
2 Na 0.2064 0.4120 0.9633
3 Na 0.2936 0.9120 0.5367
4 Na 0.4120 0.7936 0.0367
5 Na 0.5880 0.2064 0.0367
6 Na 0.7064 0.0880 0.5367
7 Na 0.7936 0.5880 0.9633
8 Na 0.9120 0.7064 0.4633
9 Pt 0.0000 0.0000 0.0000
10 Pt 0.5000 0.5000 0.5000
11 Se 0.0894 0.7510 0.8398
12 Se 0.2490 0.0894 0.1602
13 Se 0.2510 0.5894 0.3398
14 Se 0.4106 0.2510 0.6602
15 Se 0.5894 0.7490 0.6602
16 Se 0.7490 0.4106 0.3398
17 Se 0.7510 0.9106 0.1602
18 Se 0.9106 0.2490 0.8398



[3]
The following is a simulated XRD peak list of Na2PtSe3. It was derived from a cell relaxed with PBE, using CuKα.
Neutral-atom scattering factors, no anomalous dispersion.

Largest 10 diffraction maxima, low angle first, 10° ≤ 2θ ≤ 90°:
two_theta, I_rel
12.97, 74
15.72, 21
17.40, 16
26.67, 16
31.66, 100
40.77, 16
44.34, 32
46.42, 32
48.40, 15
57.28, 19

Structural model:
Unit cell a=6.7766 b=6.7766 c=7.1975 alpha=99.10 beta=99.10 gamma=119.99
Sites, in units of the cell vectors:
1 Na 0.0000 0.0000 0.0000
2 Na 0.1563 0.8437 0.5000
3 Na 0.5000 0.5000 0.5000
4 Na 0.8437 0.1563 0.5000
5 Pt 0.3327 0.6673 0.0000
6 Pt 0.6673 0.3327 0.0000
7 Se 0.0681 0.4424 0.2048
8 Se 0.3024 0.3024 0.7959
9 Se 0.4424 0.0681 0.2048
10 Se 0.5576 0.9319 0.7952
11 Se 0.6976 0.6976 0.2041
12 Se 0.9319 0.5576 0.7952



[4]
The following is a simulated XRD peak list of Na3Si5Pt10. It was derived from a cell relaxed with PBE, using CuKα.
Neutral-atom scattering factors, no anomalous dispersion.

Largest 10 diffraction maxima, low angle first, 10° ≤ 2θ ≤ 90°:
two_theta, I_rel
17.28, 100
27.94, 45
31.46, 21
34.96, 93
36.50, 40
40.29, 32
40.61, 27
44.14, 47
44.47, 60
46.83, 23

Structural model:
Unit cell a=6.8405 b=6.8405 c=6.8405 alpha=97.24 beta=97.24 gamma=97.24
Sites, in units of the cell vectors:
1 Na 0.0000 0.6431 0.3569
2 Na 0.3569 0.0000 0.6431
3 Na 0.6431 0.3569 0.0000
4 Si 0.0000 0.2478 0.7522
5 Si 0.2478 0.7522 0.0000
6 Si 0.3785 0.3785 0.3785
7 Si 0.6215 0.6215 0.6215
8 Si 0.7522 0.0000 0.2478
9 Pt 0.0000 0.0000 0.0000
10 Pt 0.0693 0.1923 0.4079
11 Pt 0.1923 0.4079 0.0693
12 Pt 0.2992 0.5000 0.7008
13 Pt 0.4079 0.0693 0.1923
14 Pt 0.5000 0.7008 0.2992
15 Pt 0.5921 0.8077 0.9307
16 Pt 0.7008 0.2992 0.5000
17 Pt 0.8077 0.9307 0.5921
18 Pt 0.9307 0.5921 0.8077



[5]
The following is a simulated XRD peak list of NaSm3Pt8. It was derived from a cell relaxed with PBE, using CuKα.
Neutral-atom scattering factors, no anomalous dispersion.

Largest 10 diffraction maxima, low angle first, 10° ≤ 2θ ≤ 90°:
two_theta, I_rel
19.90, 28
32.77, 14
38.64, 100
40.43, 58
47.03, 14
51.55, 8
62.44, 32
68.70, 30
81.70, 11
82.85, 23

Structural model:
Unit cell a=9.4627 b=9.4627 c=9.4627 alpha=33.57 beta=33.57 gamma=33.57
Sites, in units of the cell vectors:
1 Na 0.0000 0.0000 0.0000
2 Sm 0.3661 0.3661 0.3661
3 Sm 0.4943 0.4943 0.4943
4 Sm 0.8785 0.8785 0.8785
5 Pt 0.1843 0.1843 0.1843
6 Pt 0.4352 0.4352 0.9305
7 Pt 0.4352 0.9305 0.4352
8 Pt 0.4368 0.9344 0.9344
9 Pt 0.6841 0.6841 0.6841
10 Pt 0.9305 0.4352 0.4352
11 Pt 0.9344 0.4368 0.9344
12 Pt 0.9344 0.9344 0.4368



[6]
The following is a simulated XRD peak list of NaSrSn4Pt2. It was derived from a cell relaxed with PBE, using CuKα.
Neutral-atom scattering factors, no anomalous dispersion.

Largest 10 diffraction maxima, low angle first, 10° ≤ 2θ ≤ 90°:
two_theta, I_rel
15.52, 94
19.38, 46
24.37, 44
31.75, 92
33.07, 75
33.50, 53
38.98, 100
39.35, 37
40.45, 58
41.47, 86

Structural model:
Unit cell a=7.6713 b=6.1291 c=6.1291 alpha=42.67 beta=90.00 gamma=90.00
Sites, in units of the cell vectors:
1 Na 0.0000 0.0000 0.0000
2 Sr 0.5000 0.1312 0.1312
3 Sn 0.1997 0.7150 0.7150
4 Sn 0.2913 0.4214 0.4214
5 Sn 0.7087 0.4214 0.4214
6 Sn 0.8003 0.7150 0.7150
7 Pt 0.0000 0.2728 0.2728
8 Pt 0.5000 0.8565 0.8565



What is the formula in the fourth record?
Na3Si5Pt10



What did the fifth record say?
The following is a simulated XRD peak list of NaSm3Pt8. It was derived from a cell relaxed with PBE, using CuKα.
Neutral-atom scattering factors, no anomalous dispersion.

Largest 10 diffraction maxima, low angle first, 10° ≤ 2θ ≤ 90°:
two_theta, I_rel
19.90, 28
32.77, 14
38.64, 100
40.43, 58
47.03, 14
51.55, 8
62.44, 32
68.70, 30
81.70, 11
82.85, 23

Structural model:
Unit cell a=9.4627 b=9.4627 c=9.4627 alpha=33.57 beta=33.57 gamma=33.57
Sites, in units of the cell vectors:
1 Na 0.0000 0.0000 0.0000
2 Sm 0.3661 0.3661 0.3661
3 Sm 0.4943 0.4943 0.4943
4 Sm 0.8785 0.8785 0.8785
5 Pt 0.1843 0.1843 0.1843
6 Pt 0.4352 0.4352 0.9305
7 Pt 0.4352 0.9305 0.4352
8 Pt 0.4368 0.9344 0.9344
9 Pt 0.6841 0.6841 0.6841
10 Pt 0.9305 0.4352 0.4352
11 Pt 0.9344 0.4368 0.9344
12 Pt 0.9344 0.9344 0.4368